No. 1
Structure and theoretical powder diffraction line list of Ho3TmTc (a DFT-relaxed cell (PBE, Alexandria); Cu Ka).
Kinematic intensities with the Lorentz-polarization factor, no thermal factor.

Most intense lines, 10 to 90 degrees two-theta, by angle:
2θ 20.7, intensity 17, (0 2 0); 2θ 25.9, intensity 14, (2 2 -1); 2θ 29.5, intensity 39, (2 2 0); 2θ 31.0, intensity 100, (0 0 2); 2θ 33.4, intensity 62, (4 0 -1); 2θ 36.0, intensity 42, (4 0 -3); 2θ 39.6, intensity 30, (2 2 1); 2θ 42.2, intensity 22, (0 4 0); 2θ 50.9, intensity 16, (5 3 -2); 2θ 54.9, intensity 23, (4 4 -1)

Structure:
```
data_Ho3TmTc
_chemical_formula_sum 'Ho12 Tm4 Tc4'
_symmetry_space_group_name_H-M 'C 1 2/m 1'
_symmetry_Int_Tables_number 12
_symmetry_space_group_name_Hall '-C 2y'
_cell_length_a 11.5818
_cell_length_b 8.5735
_cell_length_c 7.8269
_cell_angle_alpha 90.00
_cell_angle_beta 132.35
_cell_angle_gamma 90.00
loop_
_atom_site_label
_atom_site_type_symbol
_atom_site_fract_x
_atom_site_fract_y
_atom_site_fract_z
Ho1 Ho 0.0535 0.0000 0.3473
Ho2 Ho 0.2489 0.3038 0.7930
Tm1 Tm 0.0542 0.5000 0.2572
Tc1 Tc 0.2502 0.0000 0.8742
```

No. 2
Structure and theoretical powder diffraction line list of RbYTa2I (a DFT-relaxed cell (PBE, Alexandria); Cu Ka).
Kinematic intensities with the Lorentz-polarization factor, no thermal factor.

Most intense lines, 10 to 90 degrees two-theta, by angle:
2θ 14.7, intensity 27, (0 0 1); 2θ 29.6, intensity 100, (1 1 1); 2θ 29.7, intensity 46, (0 0 2); 2θ 36.4, intensity 53, (2 0 0); 2θ 47.7, intensity 49, (2 0 2); 2θ 52.5, intensity 19, (2 2 0); 2θ 52.7, intensity 20, (1 1 3); 2θ 61.5, intensity 48, (2 2 2); 2θ 73.9, intensity 13, (2 0 4); 2θ 85.0, intensity 15, (4 0 2)

Structure:
```
data_RbYTa2I
_chemical_formula_sum 'Rb1 Y1 Ta2 I1'
_symmetry_space_group_name_H-M 'P 4/m m m'
_symmetry_Int_Tables_number 123
_symmetry_space_group_name_Hall '-P 4 2'
_cell_length_a 4.9323
_cell_length_b 4.9323
_cell_length_c 6.0066
_cell_angle_alpha 90.00
_cell_angle_beta 90.00
_cell_angle_gamma 90.00
loop_
_atom_site_label
_atom_site_type_symbol
_atom_site_fract_x
_atom_site_fract_y
_atom_site_fract_z
Rb1 Rb 0.0000 0.0000 0.0000
Y1 Y 0.5000 0.5000 0.5000
Ta1 Ta 0.0000 0.5000 0.0000
I1 I 0.0000 0.0000 0.5000
```

No. 3
Structure and theoretical powder diffraction line list of MnZn2Hg (a DFT-relaxed cell (PBE, Alexandria); Cu Ka).
Kinematic intensities with the Lorentz-polarization factor, no thermal factor.

Most intense lines, 10 to 90 degrees two-theta, by angle:
2θ 22.2, intensity 34, (1 0 0); 2θ 31.5, intensity 30, (1 0 1); 2θ 38.9, intensity 100, (1 1 1); 2θ 45.2, intensity 49, (2 0 0); 2θ 50.9, intensity 17, (2 1 0); 2θ 56.1, intensity 13, (2 1 1); 2θ 65.8, intensity 31, (2 2 0); 2θ 70.4, intensity 8, (3 0 0); 2θ 79.2, intensity 36, (3 1 1); 2θ 83.4, intensity 11, (2 2 2)

Structure:
```
data_MnZn2Hg
_chemical_formula_sum 'Mn1 Zn2 Hg1'
_symmetry_space_group_name_H-M 'P 4/m m m'
_symmetry_Int_Tables_number 123
_symmetry_space_group_name_Hall '-P 4 2'
_cell_length_a 4.0119
_cell_length_b 4.0119
_cell_length_c 4.0146
_cell_angle_alpha 90.00
_cell_angle_beta 90.00
_cell_angle_gamma 90.00
loop_
_atom_site_label
_atom_site_type_symbol
_atom_site_fract_x
_atom_site_fract_y
_atom_site_fract_z
Mn1 Mn 0.0000 0.0000 0.0000
Zn1 Zn 0.0000 0.5000 0.5000
Hg1 Hg 0.5000 0.5000 0.0000
```